Theoretical powder X-ray diffraction pattern of DyY2Cd3 for copper Kα, from a DFT-relaxed cell (GGA-PBE, Alexandria).
Neutral-atom scattering factors, no anomalous dispersion.

Structural model:
```
DyY2Cd3
1.0
5.2948 0.0000 0.0000
-2.6474 4.5854 0.0000
0.0000 0.0000 6.5030
Dy Y Cd
1 2 3
direct
0.0000 0.0000 0.0000
0.3333 0.6667 0.6667
0.6667 0.3333 0.3333
0.0000 0.0000 0.5000
0.3333 0.6667 0.1658
0.6667 0.3333 0.8342
```

Peak list (9 most intense, 2θ = 5–70°, in order of falling intensity)
h k l  d_spacing  Position (°2θ)  I_rel
1 1 0  2.650  33.83  100
3 0 0  1.529  60.55  27
2 0 2  1.874  48.59  18
1 0 4  1.532  60.41  9
1 0 0  4.585  19.36  2
0 0 1  6.503  13.62  1
0 1 1  3.747  23.74  1
1 1 1  2.452  36.65  1
1 1 2  2.053  44.11  1